No. 1
For HfAgI, a GGA-PBE-relaxed structure gives the simulated powder diffractogram in this record (Cu Ka).
Lines closer than 0.1° are merged.

Most intense lines, 5° ≤ 2θ ≤ 70°, by angle:
| two_theta | intensity |
| --- | --- |
| 5.71 | 100 |
| 17.18 | 10 |
| 29.46 | 39 |
| 30.03 | 25 |
| 34.30 | 38 |
| 37.69 | 100 |
| 40.79 | 9 |
| 52.26 | 29 |
| 66.20 | 18 |
| 68.34 | 12 |

Structural model:
```
HfAgI
1.0
15.485 0.000 0.000
0.000 1.751 3.031
0.000 -1.751 3.031
Hf Ag I
2 2 2
Cartesian
2.128 0.000 0.000
13.357 0.000 0.000
0.000 0.000 2.021
7.742 0.000 1.879
4.213 0.000 2.020
11.272 0.000 2.020
```

***

No. 2
For YTm2ThSc2, a GGA-PBE-relaxed structure gives the simulated powder diffractogram in this record (Cu Ka).
Lines closer than 0.1° are merged.

Most intense lines, 5° ≤ 2θ ≤ 70°, by angle:
| two_theta | intensity |
| --- | --- |
| 10.63 | 56 |
| 21.35 | 26 |
| 28.58 | 29 |
| 31.28 | 100 |
| 31.98 | 56 |
| 32.26 | 59 |
| 32.66 | 44 |
| 33.39 | 52 |
| 35.96 | 25 |
| 38.37 | 54 |

Structural model:
```
YTm2ThSc2
1.0
6.307 0.000 0.000
0.000 6.757 0.000
-1.169 0.000 8.324
Y Tm Th Sc
2 4 2 4
Cartesian
0.972 1.689 1.384
4.166 5.068 6.940
0.979 0.002 6.803
0.979 3.377 6.803
4.159 6.755 1.520
4.159 3.381 1.520
1.121 5.068 1.396
4.017 1.689 6.927
-0.518 5.068 4.092
2.550 1.689 4.185
2.588 5.068 4.139
5.656 1.689 4.231
```

***

No. 3
For RbAg5S3, a GGA-PBE-relaxed structure gives the simulated powder diffractogram in this record (Cu Ka).
Lines closer than 0.1° are merged.

Most intense lines, 5° ≤ 2θ ≤ 70°, by angle:
| two_theta | intensity |
| --- | --- |
| 12.93 | 38 |
| 22.49 | 12 |
| 26.03 | 37 |
| 31.58 | 16 |
| 34.25 | 100 |
| 44.61 | 16 |
| 45.59 | 16 |
| 45.91 | 23 |
| 58.51 | 17 |
| 65.94 | 15 |

Structural model:
```
RbAg5S3
1.0
13.695 0.000 0.000
-6.847 11.860 0.000
0.000 0.000 8.126
Rb Ag S
6 30 18
Cartesian
0.000 0.000 0.000
0.000 0.000 4.063
0.000 7.907 0.003
0.000 7.907 4.059
6.847 3.953 8.122
6.847 3.953 4.066
-3.288 5.694 0.000
-3.288 5.694 4.063
-4.430 7.685 2.031
-2.117 3.723 6.094
-3.495 9.766 0.001
-3.495 9.766 4.061
0.137 3.951 0.001
0.137 3.951 4.061
-2.565 11.832 6.094
4.282 0.028 2.031
3.353 2.094 8.124
3.353 2.094 4.064
2.407 4.181 2.031
2.418 4.175 6.094
6.575 0.000 0.000
6.575 0.000 4.063
3.560 6.166 0.000
3.560 6.166 4.063
2.023 11.854 2.031
8.870 0.006 6.094
3.357 10.004 0.001
3.357 10.004 4.061
4.682 8.166 6.094
4.731 8.138 2.031
10.205 1.857 8.124
10.205 1.857 4.064
6.985 7.909 8.124
6.985 7.909 4.064
11.530 3.694 2.031
9.254 7.679 6.094
-4.638 10.360 2.031
-2.210 6.403 2.031
0.195 2.663 2.031
0.001 5.233 6.094
-2.316 9.243 6.094
2.209 1.500 6.094
-0.198 10.573 2.031
4.531 2.617 2.031
2.407 6.745 2.031
6.650 1.288 6.094
2.315 9.244 6.094
4.638 5.458 6.094
4.444 10.697 2.031
9.163 2.616 2.031
6.848 6.627 2.031
11.291 1.163 6.094
9.255 5.115 6.094
7.042 9.197 6.094
```

***

No. 4
For Y2Tm4Cd, a GGA-PBE-relaxed structure gives the simulated powder diffractogram in this record (Cu Ka).
Lines closer than 0.1° are merged.

Most intense lines, 5° ≤ 2θ ≤ 70°, by angle:
| two_theta | intensity |
| --- | --- |
| 30.27 | 31 |
| 30.78 | 100 |
| 32.02 | 71 |
| 32.26 | 69 |
| 33.57 | 65 |
| 34.38 | 27 |
| 37.88 | 56 |
| 63.18 | 20 |
| 63.32 | 20 |
| 64.11 | 20 |

Structural model:
```
Y2Tm4Cd
1.0
8.186 -1.731 0.000
8.186 1.731 0.000
-3.877 0.000 7.451
Y Tm Cd
2 4 1
Cartesian
3.014 0.000 1.067
9.482 0.000 6.384
-1.412 0.000 5.226
3.717 0.000 4.510
8.778 0.000 2.940
13.908 0.000 2.225
0.000 0.000 0.000
```

***

Please write out number 2 again, unchanged.
For YTm2ThSc2, a GGA-PBE-relaxed structure gives the simulated powder diffractogram in this record (Cu Ka).
Lines closer than 0.1° are merged.

Most intense lines, 5° ≤ 2θ ≤ 70°, by angle:
| two_theta | intensity |
| --- | --- |
| 10.63 | 56 |
| 21.35 | 26 |
| 28.58 | 29 |
| 31.28 | 100 |
| 31.98 | 56 |
| 32.26 | 59 |
| 32.66 | 44 |
| 33.39 | 52 |
| 35.96 | 25 |
| 38.37 | 54 |

Structural model:
```
YTm2ThSc2
1.0
6.307 0.000 0.000
0.000 6.757 0.000
-1.169 0.000 8.324
Y Tm Th Sc
2 4 2 4
Cartesian
0.972 1.689 1.384
4.166 5.068 6.940
0.979 0.002 6.803
0.979 3.377 6.803
4.159 6.755 1.520
4.159 3.381 1.520
1.121 5.068 1.396
4.017 1.689 6.927
-0.518 5.068 4.092
2.550 1.689 4.185
2.588 5.068 4.139
5.656 1.689 4.231
```